[1]
Calculated powder diffractogram
Compound: RbBe2H2
Radiation: Cu Kα
Structure: a structure optimized by DFT (PBE)
Intensities are scaled so that the largest is 100.

Cell and atoms:
Cell lengths 4.092, 6.311, 6.652 Å; angles 107.26, 97.11, 92.99 degrees
Space group P1 (No. 1)
Inequivalent atoms, fractional coordinates:
Rb: 0.000 0.000 0.000
Rb: 0.461 0.387 0.611
Be: 0.114 0.815 0.444
Be: 0.302 0.592 0.173
Be: 0.622 0.830 0.454
Be: 0.778 0.568 0.190
H: 0.408 0.880 0.625
H: 0.512 0.394 0.182
H: 0.525 0.642 0.031
H: 0.901 0.009 0.487

Main lines, in order of rising 2θ (15 to 90 degrees two-theta):
two_theta  d_spacing  I_rel
17.0  5.208  58
23.4  3.798  81
24.4  3.651  59
25.4  3.508  69
27.7  3.216  100
27.9  3.194  52

[2]
Calculated powder diffractogram
Compound: Zn6Cu2Ag
Radiation: Cu Kα
Structure: a structure optimized by DFT (PBE)
Intensities are scaled so that the largest is 100.

Cell and atoms:
Cell lengths 4.310, 5.294, 12.360 Å; angles 90.00, 90.00, 90.00 degrees
Space group Immm (No. 71)
Inequivalent atoms, fractional coordinates:
Zn: 0.000 0.231 0.000
Zn: 0.000 0.252 0.200
Cu: 0.000 0.500 0.389
Ag: 0.000 0.000 0.500

Main lines, in order of rising 2θ (15 to 90 degrees two-theta):
two_theta  d_spacing  I_rel
27.4  3.251  19
39.7  2.269  36
40.7  2.219  100
41.9  2.155  53
42.1  2.144  45
55.1  1.666  33

[3]
Calculated powder diffractogram
Compound: AlCo2Ni
Radiation: Cu Kα
Structure: a structure optimized by DFT (PBE)
Intensities are scaled so that the largest is 100.

Cell and atoms:
Cell lengths 2.631, 3.366, 5.168 Å; angles 90.00, 90.00, 90.00 degrees
Space group Pmm2 (No. 25)
Inequivalent atoms, fractional coordinates:
Al: 0.000 0.000 0.000
Co: 0.000 0.000 0.493
Co: 0.500 0.500 0.269
Ni: 0.500 0.500 0.754

Main lines, in order of rising 2θ (15 to 90 degrees two-theta):
two_theta  d_spacing  I_rel
43.7  2.073  100
44.2  2.050  95
49.4  1.843  67
54.5  1.683  25
76.7  1.243  33
88.3  1.107  23

[4]
Calculated powder diffractogram
Compound: DyPaTcPd
Radiation: Cu Kα
Structure: a structure optimized by DFT (PBE)
Intensities are scaled so that the largest is 100.

Cell and atoms:
Cell lengths 6.932, 6.932, 6.932 Å; angles 90.00, 90.00, 90.00 degrees
Space group F-43m (No. 216)
Inequivalent atoms, fractional coordinates:
Dy: 0.000 0.000 0.000
Pa: 0.000 0.000 0.500
Tc: 0.250 0.250 0.250
Pd: 0.250 0.250 0.750

Main lines, in order of rising 2θ (15 to 90 degrees two-theta):
two_theta  d_spacing  I_rel
25.7  3.466  11
36.7  2.451  100
52.8  1.733  18
66.0  1.415  36
78.0  1.225  11
89.4  1.096  17

[5]
Calculated powder diffractogram
Compound: ReRh7
Radiation: Cu Kα
Structure: a structure optimized by DFT (PBE)
Intensities are scaled so that the largest is 100.

Cell and atoms:
Cell lengths 2.718, 3.858, 10.868 Å; angles 90.00, 90.00, 90.00 degrees
Space group Pmmm (No. 47)
Inequivalent atoms, fractional coordinates:
Re: 0.000 0.000 0.000
Rh: 0.000 0.000 0.250
Rh: 0.000 0.000 0.500
Rh: 0.500 0.500 0.122
Rh: 0.500 0.500 0.374

Main lines, in order of rising 2θ (15 to 90 degrees two-theta):
two_theta  d_spacing  I_rel
40.6  2.222  100
47.1  1.929  16
47.3  1.922  32
69.0  1.361  20
83.1  1.162  12
83.4  1.159  24

[6]
Calculated powder diffractogram
Compound: TaTiPt3
Radiation: Cu Kα
Structure: a structure optimized by DFT (PBE)
Intensities are scaled so that the largest is 100.

Cell and atoms:
Cell lengths 7.092, 6.908, 6.901 Å; angles 90.00, 90.00, 90.00 degrees
Space group Pnma (No. 62)
Inequivalent atoms, fractional coordinates:
Ta: 0.000 0.000 0.000
Ti: 0.169 0.250 0.409
Pt: 0.127 0.750 0.276
Pt: 0.143 0.552 0.646

Main lines, in order of rising 2θ (15 to 90 degrees two-theta):
two_theta  d_spacing  I_rel
28.3  3.155  36
38.7  2.329  100
39.0  2.308  37
40.3  2.236  36
41.3  2.186  65
73.6  1.287  31

[7]
Calculated powder diffractogram
Compound: Rb2N2Cl3
Radiation: Cu Kα
Structure: a structure optimized by DFT (PBE)
Intensities are scaled so that the largest is 100.

Cell and atoms:
Cell lengths 4.710, 5.646, 8.913 Å; angles 108.06, 92.26, 90.03 degrees
Space group P-1 (No. 2)
Inequivalent atoms, fractional coordinates:
Rb: 0.018 0.132 0.258
N: 0.221 0.699 0.395
Cl: 0.434 0.309 0.622
Cl: 0.500 0.000 0.000

Main lines, in order of rising 2θ (15 to 90 degrees two-theta):
two_theta  d_spacing  I_rel
16.6  5.356  100
27.8  3.215  45
29.0  3.083  79
29.7  3.006  50
29.8  2.995  48
31.7  2.823  79

[8]
Calculated powder diffractogram
Compound: LaThCN
Radiation: Cu Kα
Structure: a structure optimized by DFT (PBE)
Intensities are scaled so that the largest is 100.

Cell and atoms:
Cell lengths 3.8027, 3.8027, 18.5074 Å; angles 90.00, 90.00, 120.00 degrees
Space group R3m (No. 160, hexagonal axes)
Inequivalent atoms, fractional coordinates:
La: 0.0000 0.0000 0.0000
Th: 0.0000 0.0000 0.5013
C: 0.0000 0.0000 0.2557
N: 0.0000 0.0000 0.7731

Main lines, in order of rising 2θ (15 to 90 degrees two-theta):
two_theta  d_spacing  I_rel
28.8  3.103  100
28.9  3.085  34
33.4  2.683  89
47.8  1.901  33
48.1  1.893  31
56.9  1.619  48

[9]
Calculated powder diffractogram
Compound: Li4TlSb5
Radiation: Cu Kα
Structure: a structure optimized by DFT (PBE)
Intensities are scaled so that the largest is 100.

Cell and atoms:
Cell lengths 3.205, 3.205, 22.673 Å; angles 89.90, 89.88, 89.99 degrees
Space group P-1 (No. 2)
Inequivalent atoms, fractional coordinates:
Li: 0.006 0.004 0.094
Li: 0.007 0.006 0.281
Tl: 0.000 0.000 0.500
Sb: 0.492 0.494 0.812
Sb: 0.495 0.496 0.628
Sb: 0.500 0.500 0.000

Main lines, in order of rising 2θ (15 to 90 degrees two-theta):
two_theta  d_spacing  I_rel
23.5  3.779  31
27.8  3.205  25
32.1  2.790  23
34.3  2.617  100
39.8  2.266  50
52.8  1.734  22

[10]
Calculated powder diffractogram
Compound: Zr6GaTc5
Radiation: Cu Kα
Structure: a structure optimized by DFT (PBE)
Intensities are scaled so that the largest is 100.

Cell and atoms:
Cell lengths 4.642, 6.671, 14.014 Å; angles 90.00, 90.00, 90.00 degrees
Space group Immm (No. 71)
Inequivalent atoms, fractional coordinates:
Zr: 0.000 0.239 0.000
Zr: 0.000 0.254 0.330
Ga: 0.000 0.000 0.500
Tc: 0.000 0.000 0.168
Tc: 0.000 0.500 0.162
Tc: 0.000 0.500 0.500

Main lines, in order of rising 2θ (15 to 90 degrees two-theta):
two_theta  d_spacing  I_rel
38.4  2.343  100
38.5  2.336  25
38.8  2.321  24
55.8  1.646  16
69.6  1.350  16
70.0  1.344  16

[11]
Calculated powder diffractogram
Compound: NaNd2Pt
Radiation: Cu Kα
Structure: a structure optimized by DFT (PBE)
Intensities are scaled so that the largest is 100.

Cell and atoms:
Cell lengths 3.611, 3.611, 9.446 Å; angles 90.00, 90.00, 90.00 degrees
Space group P4/mmm (No. 123)
Inequivalent atoms, fractional coordinates:
Na: 0.000 0.000 0.000
Nd: 0.500 0.500 0.320
Pt: 0.000 0.000 0.500

Main lines, in order of rising 2θ (15 to 90 degrees two-theta):
two_theta  d_spacing  I_rel
31.2  2.869  100
35.1  2.553  58
36.4  2.465  34
37.9  2.373  74
60.6  1.528  30
64.9  1.437  31

[12]
Calculated powder diffractogram
Compound: Sc2Ni17
Radiation: Cu Kα
Structure: a structure optimized by DFT (PBE)
Intensities are scaled so that the largest is 100.

Cell and atoms:
Cell lengths 8.1645, 8.1645, 11.9902 Å; angles 90.00, 90.00, 120.00 degrees
Space group R-3m (No. 166, hexagonal axes)
Inequivalent atoms, fractional coordinates:
Sc: 0.0000 0.0000 0.1625
Ni: 0.0000 0.0000 0.3998
Ni: 0.0000 0.3005 0.5000
Ni: 0.0000 0.5000 0.0000
Ni: 0.0029 0.5014 0.6536

Main lines, in order of rising 2θ (15 to 90 degrees two-theta):
two_theta  d_spacing  I_rel
38.2  2.357  31
44.4  2.041  60
44.6  2.030  100
45.4  1.998  47
50.2  1.818  100
50.9  1.795  29

[13]
Calculated powder diffractogram
Compound: GaGeMo4S8
Radiation: Cu Kα
Structure: a structure optimized by DFT (PBE)
Intensities are scaled so that the largest is 100.

Cell and atoms:
Cell lengths 10.600, 10.600, 10.600 Å; angles 90.00, 90.00, 90.00 degrees
Space group F-43m (No. 216)
Inequivalent atoms, fractional coordinates:
Ga: 0.000 0.000 0.000
Ge: 0.250 0.250 0.250
Mo: 0.094 0.094 0.406
S: 0.125 0.125 0.625
S: 0.127 0.127 0.127

Main lines, in order of rising 2θ (15 to 90 degrees two-theta):
two_theta  d_spacing  I_rel
23.7  3.748  74
33.8  2.650  54
37.0  2.432  91
41.7  2.164  53
44.4  2.040  100
48.6  1.874  87

[14]
Calculated powder diffractogram
Compound: HoMg2SbO6
Radiation: Cu Kα
Structure: a structure optimized by DFT (PBE)
Intensities are scaled so that the largest is 100.

Cell and atoms:
Cell lengths 5.3601, 5.3601, 14.4731 Å; angles 90.00, 90.00, 120.00 degrees
Space group R3 (No. 146, hexagonal axes)
Inequivalent atoms, fractional coordinates:
Ho: 0.0000 0.0000 0.0000
Mg: 0.0000 0.0000 0.2806
Mg: 0.0000 0.0000 0.7878
Sb: 0.0000 0.0000 0.4872
O: 0.0202 0.7236 0.3944
O: 0.0249 0.3414 0.5537

Main lines, in order of rising 2θ (15 to 90 degrees two-theta):
two_theta  d_spacing  I_rel
22.8  3.907  100
31.3  2.854  68
33.4  2.680  53
46.5  1.954  27
50.9  1.793  37
58.5  1.579  26